Entry 1:
Simulated powder X-ray diffraction pattern of CaPPt for Cu Kα X-rays, from DFT lattice parameters and positions (GGA-PBE).
Peak positions follow from Bragg's law for the DFT cell and can differ from measured ones.

Top 8 peaks for 15 to 90 degrees two-theta, by angle:
- 4.389 Å, 2θ 20.23, I = 88, (1 0 0)
- 3.532 Å, 2θ 25.21, I = 47, (0 2 1)
- 2.752 Å, 2θ 32.54, I = 100, (1 2 1)
- 2.630 Å, 2θ 34.09, I = 38, (1 0 2)
- 2.194 Å, 2θ 41.14, I = 31, (2 0 0)
- 2.119 Å, 2θ 42.67, I = 23, (0 1 3)
- 1.908 Å, 2θ 47.66, I = 24, (1 1 3)
- 1.817 Å, 2θ 50.22, I = 21, (1 4 1)

a b c (Å): 4.3886 8.3789 6.5703
angles (deg): 90.00 90.00 90.00
Space group Pmc2_1 (No. 26)
Inequivalent atoms, fractional coordinates:
1 Ca 0.0000 0.0867 0.0000 x2
2 Ca 0.0000 0.3737 0.4351 x2
3 P 0.5000 0.1161 0.3165 x2
4 P 0.5000 0.4281 0.7391 x2
5 Pt 0.5000 0.1568 0.6842 x2
6 Pt 0.5000 0.3313 0.0670 x2

Entry 2:
Simulated powder X-ray diffraction pattern of CaPPt for Cu Kα X-rays, from DFT lattice parameters and positions (GGA-PBE).
Peak positions follow from Bragg's law for the DFT cell and can differ from measured ones.

Top 8 peaks for 15 to 90 degrees two-theta, by angle:
- 4.213 Å, 2θ 21.09, I = 39, (0 0 1)
- 3.530 Å, 2θ 25.23, I = 55, (1 0 0)
- 2.706 Å, 2θ 33.11, I = 100, (1 0 1)
- 2.038 Å, 2θ 44.45, I = 36, (1 1 0)
- 1.835 Å, 2θ 49.69, I = 25, (1 1 1)
- 1.628 Å, 2θ 56.53, I = 22, (2 0 1)
- 1.465 Å, 2θ 63.51, I = 24, (1 1 2)
- 1.272 Å, 2θ 74.61, I = 19, (2 1 1)

a b c (Å): 4.0760 4.0760 4.2135
angles (deg): 90.00 90.00 120.00
Space group P-6m2 (No. 187)
Inequivalent atoms, fractional coordinates:
1 Ca 0.0000 0.0000 0.0000 x1
2 P 0.6667 0.3333 0.5000 x1
3 Pt 0.3333 0.6667 0.5000 x1

Entry 3:
Simulated powder X-ray diffraction pattern of Ca2ScP3Pt7 for Cu Kα X-rays, from DFT lattice parameters and positions (GGA-PBE).
Peak positions follow from Bragg's law for the DFT cell and can differ from measured ones.

Top 8 peaks for 15 to 90 degrees two-theta, by angle:
- 3.271 Å, 2θ 27.26, I = 35, (1 0 5)
- 2.816 Å, 2θ 31.78, I = 40, (1 1 2)
- 2.654 Å, 2θ 33.77, I = 26, (1 1 4)
- 2.444 Å, 2θ 36.78, I = 24, (1 0 9)
- 2.437 Å, 2θ 36.89, I = 100, (1 1 6)
- 2.206 Å, 2θ 40.90, I = 28, (1 1 8)
- 2.034 Å, 2θ 44.54, I = 61, (2 0 0)
- 1.239 Å, 2θ 76.97, I = 26, (3 1 6)

a b c (Å): 4.0682 4.0682 27.5110
angles (deg): 90.00 90.00 90.00
Space group I-4m2 (No. 119)
Inequivalent atoms, fractional coordinates:
1 Ca 0.0000 0.0000 0.1666 x4
2 Sc 0.0000 0.0000 0.0000 x2
3 P 0.0000 0.0000 0.3771 x4
4 P 0.0000 0.5000 0.2500 x2
5 Pt 0.0000 0.0000 0.2934 x4
6 Pt 0.0000 0.0000 0.5000 x2
7 Pt 0.0000 0.5000 0.0727 x4
8 Pt 0.0000 0.5000 0.5743 x4

Entry 4:
Simulated powder X-ray diffraction pattern of Ca5P12Rh19 for Cu Kα X-rays, from DFT lattice parameters and positions (GGA-PBE).
Peak positions follow from Bragg's law for the DFT cell and can differ from measured ones.

Top 8 peaks for 15 to 90 degrees two-theta, by angle:
- 4.160 Å, 2θ 21.36, I = 16, (2 1 0)
- 2.859 Å, 2θ 31.29, I = 15, (2 1 1)
- 2.472 Å, 2θ 36.34, I = 100, (2 2 1)
- 2.412 Å, 2θ 37.28, I = 19, (3 1 1)
- 2.050 Å, 2θ 44.17, I = 14, (4 1 1)
- 1.968 Å, 2θ 46.13, I = 24, (0 0 2)
- 1.921 Å, 2θ 47.31, I = 25, (5 0 1)
- 1.835 Å, 2θ 49.70, I = 14, (6 0 0)

a b c (Å): 12.7101 12.7101 3.9353
angles (deg): 90.00 90.00 120.00
Space group P-62m (No. 189)
Inequivalent atoms, fractional coordinates:
1 Ca 0.0000 0.1840 0.0000 x3
2 Ca 0.3333 0.6667 0.5000 x2
3 P 0.0000 0.3660 0.5000 x3
4 P 0.0000 0.8190 0.5000 x3
5 P 0.1679 0.6861 0.0000 x6
6 Rh 0.0000 0.0000 0.5000 x1
7 Rh 0.0000 0.5463 0.5000 x3
8 Rh 0.0000 0.7163 0.0000 x3
9 Rh 0.1295 0.4885 0.0000 x6
10 Rh 0.1807 0.8042 0.5000 x6

Entry 5:
Simulated powder X-ray diffraction pattern of CaP2Rh2 for Cu Kα X-rays, from DFT lattice parameters and positions (GGA-PBE).
Peak positions follow from Bragg's law for the DFT cell and can differ from measured ones.

Top 8 peaks for 15 to 90 degrees two-theta, by angle:
- 4.851 Å, 2θ 18.29, I = 55, (0 0 2)
- 2.471 Å, 2θ 36.36, I = 100, (1 1 2)
- 2.426 Å, 2θ 37.06, I = 13, (0 0 4)
- 2.030 Å, 2θ 44.63, I = 40, (2 0 0)
- 1.873 Å, 2θ 48.62, I = 17, (2 0 2)
- 1.853 Å, 2θ 49.17, I = 32, (1 1 4)
- 1.241 Å, 2θ 76.79, I = 21, (3 1 2)
- 1.135 Å, 2θ 85.58, I = 13, (3 1 4)

a b c (Å): 4.0604 4.0604 9.7030
angles (deg): 90.00 90.00 90.00
Space group I4/mmm (No. 139)
Inequivalent atoms, fractional coordinates:
1 Ca 0.0000 0.0000 0.0000 x2
2 P 0.0000 0.0000 0.3837 x4
3 Rh 0.0000 0.5000 0.2500 x4

Entry 6:
Simulated powder X-ray diffraction pattern of CaP2Ru2 for Cu Kα X-rays, from DFT lattice parameters and positions (GGA-PBE).
Peak positions follow from Bragg's law for the DFT cell and can differ from measured ones.

Top 8 peaks for 15 to 90 degrees two-theta, by angle:
- 4.927 Å, 2θ 18.00, I = 72, (0 0 2)
- 2.558 Å, 2θ 35.07, I = 15, (1 0 3)
- 2.489 Å, 2θ 36.08, I = 100, (1 1 2)
- 2.040 Å, 2θ 44.41, I = 44, (2 0 0)
- 1.885 Å, 2θ 48.29, I = 22, (2 0 2)
- 1.873 Å, 2θ 48.60, I = 36, (1 1 4)
- 1.427 Å, 2θ 65.39, I = 20, (1 1 6)
- 1.248 Å, 2θ 76.30, I = 21, (3 1 2)

a b c (Å): 4.0794 4.0794 9.8544
angles (deg): 90.00 90.00 90.00
Space group I4/mmm (No. 139)
Inequivalent atoms, fractional coordinates:
1 Ca 0.0000 0.0000 0.0000 x2
2 P 0.0000 0.0000 0.3670 x4
3 Ru 0.0000 0.5000 0.2500 x4

Entry 7:
Simulated powder X-ray diffraction pattern of CaPS3 for Cu Kα X-rays, from DFT lattice parameters and positions (GGA-PBE).
Peak positions follow from Bragg's law for the DFT cell and can differ from measured ones.

Top 8 peaks for 15 to 90 degrees two-theta, by angle:
- 5.761 Å, 2θ 15.38, I = 41, (0 1 1)
- 2.901 Å, 2θ 30.83, I = 38, (2 1 -1)
- 2.880 Å, 2θ 31.05, I = 68, (0 2 2)
- 2.841 Å, 2θ 31.49, I = 100, (2 1 -3)
- 2.665 Å, 2θ 33.63, I = 44, (1 2 1)
- 2.650 Å, 2θ 33.83, I = 94, (1 1 2)
- 2.582 Å, 2θ 34.74, I = 37, (1 1 -4)
- 2.395 Å, 2θ 37.55, I = 46, (2 2 -1)

a b c (Å): 6.6246 7.3560 11.1817
angles (deg): 90.00 124.05 90.00
Space group P2_1/c (No. 14)
Inequivalent atoms, fractional coordinates:
1 Ca 0.2142 0.1195 0.2523 x4
2 P 0.1352 0.6087 0.0661 x4
3 S 0.0792 0.1939 0.9320 x4
4 S 0.2735 0.6938 0.9528 x4
5 S 0.3834 0.0065 0.7594 x4

Entry 8:
Simulated powder X-ray diffraction pattern of Ca3Si2P4 for Cu Kα X-rays, from DFT lattice parameters and positions (GGA-PBE).
Peak positions follow from Bragg's law for the DFT cell and can differ from measured ones.

Top 8 peaks for 15 to 90 degrees two-theta, by angle:
- 2.911 Å, 2θ 30.72, I = 100, (1 4 1)
- 2.866 Å, 2θ 31.20, I = 6, (2 1 -2)
- 2.160 Å, 2θ 41.81, I = 7, (0 8 0)
- 2.075 Å, 2θ 43.61, I = 18, (3 4 -1)
- 2.040 Å, 2θ 44.41, I = 18, (1 4 -3)
- 1.971 Å, 2θ 46.04, I = 14, (2 0 2)
- 1.734 Å, 2θ 52.79, I = 9, (2 8 -2)
- 1.293 Å, 2θ 73.23, I = 6, (0 8 4)

a b c (Å): 7.1023 17.2826 6.9506
angles (deg): 90.00 111.73 90.00
Space group P2_1/c (No. 14)
Inequivalent atoms, fractional coordinates:
1 Ca 0.2153 0.1839 0.0123 x4
2 Ca 0.2566 0.0623 0.5123 x4
3 Ca 0.2613 0.5581 0.5049 x4
4 Si 0.2121 0.6284 0.0286 x4
5 Si 0.3168 0.7419 0.9145 x4
6 P 0.0095 0.5611 0.7554 x4
7 P 0.0441 0.6859 0.2209 x4
8 P 0.4941 0.5684 0.2403 x4
9 P 0.4991 0.1989 0.7761 x4